Record 1
AcLaNdDy2: calculated powder diffractogram (Cu Kα X-rays), based on a crystal structure in Alexandria, relaxed with GGA-PBE.
Kinematic intensities with the Lorentz-polarization factor, no thermal factor.

Top 10 peaks for 10° ≤ 2θ ≤ 90°, by angle:
| d [Å] | 2theta | I_rel |
| --- | --- | --- |
| 4.500 | 19.73 | 32.7 |
| 3.653 | 24.37 | 45.3 |
| 3.110 | 28.70 | 100.0 |
| 3.057 | 29.21 | 92.2 |
| 2.945 | 30.35 | 43.7 |
| 2.814 | 31.80 | 86.8 |
| 2.655 | 33.75 | 43.5 |
| 2.623 | 34.19 | 42.4 |
| 2.327 | 38.70 | 86.5 |
| 1.826 | 49.95 | 50.0 |

Crystal structure
a = 9.440 Å, b = 9.440 Å, c = 6.517 Å
α = 90.00°, β = 90.00°, γ = 138.79°
Sites, in units of the cell vectors:
Ac 0.155 0.845 0.750
Ac 0.845 0.155 0.250
La 0.346 0.654 0.750
La 0.654 0.346 0.250
Nd 0.283 0.717 0.250
Nd 0.717 0.283 0.750
Dy 0.257 0.257 0.000
Dy 0.257 0.257 0.500
Dy 0.743 0.743 0.000
Dy 0.743 0.743 0.500

***

Record 2
Ac5La2NdDy: calculated powder diffractogram (Cu Kα X-rays), based on a crystal structure in Alexandria, relaxed with GGA-PBE.
Kinematic intensities with the Lorentz-polarization factor, no thermal factor.

Top 10 peaks for 10° ≤ 2θ ≤ 90°, by angle:
| d [Å] | 2theta | I_rel |
| --- | --- | --- |
| 3.330 | 26.77 | 17.6 |
| 3.285 | 27.14 | 100.0 |
| 3.006 | 29.72 | 40.4 |
| 2.680 | 33.44 | 8.2 |
| 2.602 | 34.47 | 9.6 |
| 2.589 | 34.65 | 16.2 |
| 2.124 | 42.57 | 14.0 |
| 1.961 | 46.29 | 18.1 |
| 1.785 | 51.19 | 29.1 |
| 1.503 | 61.73 | 7.5 |

Crystal structure
a = 11.973 Å, b = 11.973 Å, c = 11.973 Å
α = 138.41°, β = 138.41°, γ = 60.28°
Sites, in units of the cell vectors:
Ac 0.000 0.000 0.000
Ac 0.090 0.590 0.958
Ac 0.132 0.090 0.500
Ac 0.368 0.868 0.958
Ac 0.410 0.368 0.500
Ac 0.500 0.500 0.000
Ac 0.590 0.632 0.500
Ac 0.632 0.132 0.042
Ac 0.868 0.910 0.500
Ac 0.910 0.410 0.042
La 0.121 0.379 0.500
La 0.379 0.879 0.257
La 0.621 0.121 0.743
La 0.879 0.621 0.500
Nd 0.250 0.250 0.000
Nd 0.750 0.750 0.000
Dy 0.250 0.750 0.500
Dy 0.750 0.250 0.500

***

Record 3
AcLaNd4Dy2: calculated powder diffractogram (Cu Kα X-rays), based on a crystal structure in Alexandria, relaxed with GGA-PBE.
Kinematic intensities with the Lorentz-polarization factor, no thermal factor.

Top 10 peaks for 10° ≤ 2θ ≤ 90°, by angle:
| d [Å] | 2theta | I_rel |
| --- | --- | --- |
| 3.073 | 29.06 | 61.4 |
| 2.852 | 31.36 | 100.0 |
| 2.173 | 41.57 | 23.3 |
| 1.890 | 48.14 | 7.4 |
| 1.732 | 52.87 | 11.8 |
| 1.727 | 53.02 | 33.9 |
| 1.609 | 57.26 | 13.4 |
| 1.427 | 65.38 | 6.1 |
| 1.425 | 65.53 | 5.7 |
| 1.147 | 84.46 | 6.1 |

Crystal structure
a = 9.761 Å, b = 6.138 Å, c = 9.734 Å
α = 90.00°, β = 101.72°, γ = 90.00°
Sites, in units of the cell vectors:
Ac 0.000 0.000 0.000
Ac 0.500 0.500 0.000
La 0.000 0.500 0.500
La 0.500 0.000 0.500
Nd 0.124 0.000 0.381
Nd 0.126 0.500 0.861
Nd 0.374 0.000 0.139
Nd 0.376 0.500 0.619
Nd 0.624 0.500 0.381
Nd 0.626 0.000 0.861
Nd 0.874 0.500 0.139
Nd 0.876 0.000 0.619
Dy 0.244 0.500 0.243
Dy 0.256 0.000 0.757
Dy 0.744 0.000 0.243
Dy 0.756 0.500 0.757

***

Record 4
Ac2LaPm4Dy: calculated powder diffractogram (Cu Kα X-rays), based on a crystal structure in Alexandria, relaxed with GGA-PBE.
Kinematic intensities with the Lorentz-polarization factor, no thermal factor.

Top 10 peaks for 10° ≤ 2θ ≤ 90°, by angle:
| d [Å] | 2theta | I_rel |
| --- | --- | --- |
| 3.454 | 25.79 | 66.1 |
| 3.084 | 28.96 | 100.0 |
| 3.046 | 29.32 | 50.5 |
| 2.300 | 39.16 | 87.2 |
| 2.285 | 39.44 | 42.5 |
| 1.588 | 58.10 | 13.6 |
| 1.572 | 58.72 | 25.7 |
| 1.507 | 61.54 | 21.5 |
| 1.502 | 61.74 | 10.6 |
| 1.235 | 77.27 | 10.9 |

Crystal structure
a = 9.876 Å, b = 9.876 Å, c = 7.150 Å
α = 111.14°, β = 111.14°, γ = 88.77°
Sites, in units of the cell vectors:
Ac 0.000 0.000 0.000
Ac 0.000 0.000 0.500
Ac 0.000 0.500 0.000
Ac 0.500 0.000 0.500
La 0.500 0.500 0.000
La 0.500 0.500 0.500
Pm 0.253 0.273 0.514
Pm 0.260 0.739 0.516
Pm 0.261 0.740 0.984
Pm 0.273 0.253 0.014
Pm 0.727 0.747 0.986
Pm 0.739 0.260 0.016
Pm 0.740 0.261 0.484
Pm 0.747 0.727 0.486
Dy 0.000 0.500 0.500
Dy 0.500 0.000 0.000

***

Record 5
AcLaPm2Dy4: calculated powder diffractogram (Cu Kα X-rays), based on a crystal structure in Alexandria, relaxed with GGA-PBE.
Kinematic intensities with the Lorentz-polarization factor, no thermal factor.

Top 10 peaks for 10° ≤ 2θ ≤ 90°, by angle:
| d [Å] | 2theta | I_rel |
| --- | --- | --- |
| 3.062 | 29.17 | 41.7 |
| 2.937 | 30.44 | 33.8 |
| 2.790 | 32.08 | 100.0 |
| 2.464 | 36.46 | 23.2 |
| 1.888 | 48.21 | 10.5 |
| 1.831 | 49.80 | 26.0 |
| 1.666 | 55.13 | 21.8 |
| 1.554 | 59.50 | 30.6 |
| 1.531 | 60.48 | 16.5 |
| 1.174 | 82.06 | 14.0 |

Crystal structure
a = 7.319 Å, b = 7.325 Å, c = 11.747 Å
α = 89.98°, β = 89.99°, γ = 60.03°
Sites, in units of the cell vectors:
Ac 0.000 0.000 0.000
Ac 0.000 0.500 0.500
La 0.000 0.000 0.500
La 0.500 0.000 0.500
Pm 0.000 0.500 0.000
Pm 0.500 0.000 0.000
Pm 0.500 0.500 0.000
Pm 0.500 0.500 0.500
Dy 0.168 0.166 0.249
Dy 0.168 0.666 0.249
Dy 0.334 0.333 0.752
Dy 0.334 0.834 0.750
Dy 0.666 0.166 0.250
Dy 0.666 0.667 0.248
Dy 0.832 0.334 0.751
Dy 0.832 0.834 0.751

***

Record 6
AcLaPmDy: calculated powder diffractogram (Cu Kα X-rays), based on a crystal structure in Alexandria, relaxed with GGA-PBE.
Kinematic intensities with the Lorentz-polarization factor, no thermal factor.

Top 10 peaks for 10° ≤ 2θ ≤ 90°, by angle:
| d [Å] | 2theta | I_rel |
| --- | --- | --- |
| 3.148 | 28.35 | 52.1 |
| 3.013 | 29.65 | 34.5 |
| 2.869 | 31.18 | 100.0 |
| 2.532 | 35.45 | 28.4 |
| 1.939 | 46.86 | 14.0 |
| 1.883 | 48.33 | 27.4 |
| 1.711 | 53.58 | 21.7 |
| 1.597 | 57.73 | 32.0 |
| 1.574 | 58.64 | 16.8 |
| 1.208 | 79.33 | 14.1 |

Crystal structure
a = 3.766 Å, b = 3.766 Å, c = 12.053 Å
α = 90.00°, β = 90.00°, γ = 120.00°
Sites, in units of the cell vectors:
Ac 0.000 0.000 0.000
La 0.667 0.333 0.507
Pm 0.333 0.667 0.258
Dy 0.333 0.667 0.748

***

Record 7
AcLaPmDy3: calculated powder diffractogram (Cu Kα X-rays), based on a crystal structure in Alexandria, relaxed with GGA-PBE.
Kinematic intensities with the Lorentz-polarization factor, no thermal factor.

Top 10 peaks for 10° ≤ 2θ ≤ 90°, by angle:
| d [Å] | 2theta | I_rel |
| --- | --- | --- |
| 3.046 | 29.32 | 28.8 |
| 3.024 | 29.54 | 96.7 |
| 2.967 | 30.12 | 33.2 |
| 2.873 | 31.13 | 66.7 |
| 2.805 | 31.91 | 100.0 |
| 2.595 | 34.56 | 38.1 |
| 2.064 | 43.87 | 24.0 |
| 1.825 | 49.97 | 19.7 |
| 1.686 | 54.41 | 18.6 |
| 1.645 | 55.89 | 20.7 |

Crystal structure
a = 10.580 Å, b = 10.580 Å, c = 7.299 Å
α = 90.18°, β = 90.18°, γ = 31.51°
Sites, in units of the cell vectors:
Ac 0.147 0.147 0.038
Ac 0.853 0.853 0.962
La 0.146 0.146 0.477
La 0.854 0.854 0.523
Pm 0.447 0.447 0.728
Pm 0.553 0.553 0.272
Dy 0.021 0.021 0.740
Dy 0.281 0.281 0.738
Dy 0.338 0.338 0.254
Dy 0.662 0.662 0.746
Dy 0.719 0.719 0.262
Dy 0.979 0.979 0.260

***

Record 8
AcLa2Sm4Dy: calculated powder diffractogram (Cu Kα X-rays), based on a crystal structure in Alexandria, relaxed with GGA-PBE.
Kinematic intensities with the Lorentz-polarization factor, no thermal factor.

Top 10 peaks for 10° ≤ 2θ ≤ 90°, by angle:
| d [Å] | 2theta | I_rel |
| --- | --- | --- |
| 3.017 | 29.61 | 100.0 |
| 2.628 | 34.12 | 17.3 |
| 2.612 | 34.34 | 17.0 |
| 2.599 | 34.52 | 16.5 |
| 1.852 | 49.19 | 12.4 |
| 1.848 | 49.32 | 12.1 |
| 1.582 | 58.33 | 14.9 |
| 1.575 | 58.61 | 14.6 |
| 1.569 | 58.85 | 14.1 |
| 1.508 | 61.47 | 12.5 |

Crystal structure
a = 5.223 Å, b = 5.255 Å, c = 10.394 Å
α = 90.00°, β = 90.04°, γ = 90.00°
Sites, in units of the cell vectors:
Ac 0.000 0.000 0.000
La 0.000 0.000 0.500
La 0.500 0.500 0.000
Sm 0.000 0.500 0.257
Sm 0.000 0.500 0.743
Sm 0.500 0.000 0.257
Sm 0.500 0.000 0.743
Dy 0.500 0.500 0.500

***

Record 9
AcLaTbDy3: calculated powder diffractogram (Cu Kα X-rays), based on a crystal structure in Alexandria, relaxed with GGA-PBE.
Kinematic intensities with the Lorentz-polarization factor, no thermal factor.

Top 10 peaks for 10° ≤ 2θ ≤ 90°, by angle:
| d [Å] | 2theta | I_rel |
| --- | --- | --- |
| 5.421 | 16.35 | 15.1 |
| 3.012 | 29.66 | 72.9 |
| 2.824 | 31.68 | 100.0 |
| 2.792 | 32.05 | 81.7 |
| 2.784 | 32.15 | 45.8 |
| 2.715 | 32.99 | 31.3 |
| 1.974 | 45.97 | 17.9 |
| 1.947 | 46.66 | 23.1 |
| 1.618 | 56.89 | 19.2 |
| 1.487 | 62.47 | 14.9 |

Crystal structure
a = 11.658 Å, b = 11.658 Å, c = 6.924 Å
α = 96.54°, β = 96.54°, γ = 27.72°
Sites, in units of the cell vectors:
Ac 0.133 0.133 0.475
Ac 0.867 0.867 0.525
La 0.432 0.432 0.827
La 0.568 0.568 0.173
Tb 0.166 0.166 0.017
Tb 0.834 0.834 0.983
Dy 0.025 0.025 0.777
Dy 0.277 0.277 0.699
Dy 0.323 0.323 0.219
Dy 0.677 0.677 0.781
Dy 0.723 0.723 0.301
Dy 0.975 0.975 0.223

***

Record 10
AcLa2TbDy: calculated powder diffractogram (Cu Kα X-rays), based on a crystal structure in Alexandria, relaxed with GGA-PBE.
Kinematic intensities with the Lorentz-polarization factor, no thermal factor.

Top 10 peaks for 10° ≤ 2θ ≤ 90°, by angle:
| d [Å] | 2theta | I_rel |
| --- | --- | --- |
| 4.222 | 21.04 | 25.1 |
| 3.476 | 25.62 | 58.3 |
| 3.298 | 27.04 | 56.0 |
| 3.193 | 27.94 | 60.0 |
| 3.063 | 29.15 | 37.5 |
| 2.835 | 31.56 | 23.1 |
| 2.800 | 31.96 | 100.0 |
| 2.623 | 34.19 | 22.0 |
| 2.354 | 38.24 | 31.1 |
| 2.066 | 43.81 | 50.4 |

Crystal structure
a = 7.441 Å, b = 7.441 Å, c = 7.484 Å
α = 90.00°, β = 90.00°, γ = 110.86°
Sites, in units of the cell vectors:
Ac 0.240 0.760 0.750
Ac 0.760 0.240 0.250
La 0.302 0.302 0.000
La 0.302 0.302 0.500
La 0.698 0.698 0.000
La 0.698 0.698 0.500
Tb 0.050 0.950 0.250
Tb 0.950 0.050 0.750
Dy 0.302 0.698 0.250
Dy 0.698 0.302 0.750

***

Record 11
AcLa4TbDy2: calculated powder diffractogram (Cu Kα X-rays), based on a crystal structure in Alexandria, relaxed with GGA-PBE.
Kinematic intensities with the Lorentz-polarization factor, no thermal factor.

Top 10 peaks for 10° ≤ 2θ ≤ 90°, by angle:
| d [Å] | 2theta | I_rel |
| --- | --- | --- |
| 3.024 | 29.54 | 100.0 |
| 2.636 | 34.01 | 17.2 |
| 2.629 | 34.11 | 17.2 |
| 2.592 | 34.60 | 16.5 |
| 1.861 | 48.93 | 12.4 |
| 1.846 | 49.38 | 12.1 |
| 1.587 | 58.13 | 14.7 |
| 1.584 | 58.27 | 14.8 |
| 1.567 | 58.92 | 14.3 |
| 1.512 | 61.31 | 12.6 |

Crystal structure
a = 11.638 Å, b = 5.257 Å, c = 10.545 Å
α = 90.00°, β = 117.01°, γ = 90.00°
Sites, in units of the cell vectors:
Ac 0.000 0.000 0.000
Ac 0.500 0.500 0.000
La 0.247 0.000 0.870
La 0.248 0.500 0.622
La 0.252 0.000 0.378
La 0.253 0.500 0.130
La 0.747 0.500 0.870
La 0.748 0.000 0.622
La 0.752 0.500 0.378
La 0.753 0.000 0.130
Tb 0.000 0.000 0.500
Tb 0.500 0.500 0.500
Dy 0.001 0.500 0.744
Dy 0.499 0.000 0.256
Dy 0.501 0.000 0.744
Dy 0.999 0.500 0.256

***

Record 12
Ac2LaDyTe6: calculated powder diffractogram (Cu Kα X-rays), based on a crystal structure in Alexandria, relaxed with GGA-PBE.
Kinematic intensities with the Lorentz-polarization factor, no thermal factor.

Top 10 peaks for 10° ≤ 2θ ≤ 90°, by angle:
| d [Å] | 2theta | I_rel |
| --- | --- | --- |
| 5.927 | 14.95 | 40.3 |
| 4.290 | 20.70 | 49.2 |
| 4.098 | 21.69 | 25.2 |
| 3.559 | 25.02 | 86.5 |
| 2.963 | 30.16 | 46.9 |
| 2.700 | 33.18 | 100.0 |
| 2.401 | 37.45 | 37.1 |
| 2.366 | 38.03 | 70.6 |
| 1.780 | 51.34 | 24.3 |
| 1.558 | 59.31 | 22.2 |

Crystal structure
a = 8.599 Å, b = 8.599 Å, c = 8.599 Å
α = 56.92°, β = 56.92°, γ = 56.92°
Sites, in units of the cell vectors:
Ac 0.000 0.000 0.000
Ac 0.498 0.498 0.498
La 0.201 0.201 0.201
Dy 0.699 0.699 0.699
Te 0.069 0.429 0.819
Te 0.325 0.913 0.584
Te 0.429 0.819 0.069
Te 0.584 0.325 0.913
Te 0.819 0.069 0.429
Te 0.913 0.584 0.325

***

Record 13
AcLa5Dy2Tm: calculated powder diffractogram (Cu Kα X-rays), based on a crystal structure in Alexandria, relaxed with GGA-PBE.
Kinematic intensities with the Lorentz-polarization factor, no thermal factor.

Top 10 peaks for 10° ≤ 2θ ≤ 90°, by angle:
| d [Å] | 2theta | I_rel |
| --- | --- | --- |
| 3.371 | 26.44 | 55.4 |
| 3.213 | 27.77 | 47.2 |
| 3.015 | 29.63 | 21.0 |
| 2.905 | 30.77 | 100.0 |
| 2.602 | 34.46 | 23.3 |
| 2.416 | 37.22 | 17.6 |
| 2.284 | 39.45 | 17.3 |
| 2.267 | 39.77 | 14.8 |
| 1.843 | 49.46 | 17.9 |
| 1.666 | 55.14 | 13.7 |

Crystal structure
a = 9.959 Å, b = 9.959 Å, c = 9.959 Å
α = 122.80°, β = 122.80°, γ = 85.21°
Sites, in units of the cell vectors:
Ac 0.250 0.250 0.000
Ac 0.750 0.750 0.000
La 0.000 0.000 0.000
La 0.070 0.570 0.898
La 0.172 0.070 0.500
La 0.328 0.828 0.898
La 0.430 0.328 0.500
La 0.500 0.500 0.000
La 0.570 0.672 0.500
La 0.672 0.172 0.102
La 0.828 0.930 0.500
La 0.930 0.430 0.102
Dy 0.109 0.391 0.500
Dy 0.391 0.891 0.281
Dy 0.609 0.109 0.719
Dy 0.891 0.609 0.500
Tm 0.250 0.750 0.500
Tm 0.750 0.250 0.500